Starting from a crystal structure in Alexandria, relaxed with PBE, the powder diffraction line list of Ho2Ga2Ru4C was calculated for a wavelength of 1.5418 Å.
No peak broadening, texture or thermal motion is included.

Main lines, most intense first (10 to 90 degrees two-theta):
index, Position (°2θ), d/Å, intensity
2 0 2, 37.36, 2.407, 100
2 2 0, 42.81, 2.112, 38
4 2 2, 74.80, 1.269, 24
2 2 4, 63.52, 1.465, 17
0 0 4, 44.59, 2.032, 13
4 0 0, 62.14, 1.494, 12

Crystal structure
a = 5.975 Å, b = 5.975 Å, c = 8.129 Å
α = 90.00°, β = 90.00°, γ = 90.00°
Space group I4/mmm (No. 139)
Symmetry-distinct sites (fractional):
Ho (0.000, 0.000, 0.213)
Ga (0.000, 0.500, 0.250)
Ru (0.237, 0.237, 0.500)
C (0.000, 0.000, 0.500)